Starting from a PBE-relaxed structure, the powder XRD pattern of RbNaCa2Nb4O13 was simulated for Cu Kα X-rays.
Lines closer than 0.1° are merged.

Atomic structure:
```
data_RbNaCa2Nb4O13
_chemical_formula_sum 'Rb1 Na1 Ca2 Nb4 O13'
_symmetry_space_group_name_H-M 'P 4/m m m'
_symmetry_Int_Tables_number 123
_symmetry_space_group_name_Hall '-P 4 2'
_cell_length_a 3.9791
_cell_length_b 3.9791
_cell_length_c 19.2543
_cell_angle_alpha 90.00
_cell_angle_beta 90.00
_cell_angle_gamma 90.00
loop_
_atom_site_label
_atom_site_fract_x
_atom_site_fract_y
_atom_site_fract_z
_atom_site_occupancy
Rb1 0.0000 0.0000 0.0000 1
Na1 0.0000 0.0000 0.5000 1
Ca1 0.0000 0.0000 0.2775 1
Nb1 0.5000 0.5000 0.1727 1
Nb2 0.5000 0.5000 0.3948 1
O1 0.0000 0.5000 0.1947 1
O2 0.0000 0.5000 0.3946 1
O3 0.5000 0.5000 0.0793 1
O4 0.5000 0.5000 0.2931 1
O5 0.5000 0.5000 0.5000 1
```

Top 6 peaks for 10 to 90 degrees two-theta, in order of rising 2θ:
| d [Å] | intensity | h k l |
| --- | --- | --- |
| 3.979 | 48 | 1 0 0 |
| 3.851 | 40 | 0 0 5 |
| 3.382 | 36 | 1 0 3 |
| 3.067 | 100 | 1 0 4 |
| 2.814 | 70 | 1 1 0 |
| 1.990 | 54 | 2 0 0 |